[1]
Simulated XRD peak list
Compound: BPd2Pt6
Radiation: Cu Kα (weighted mean of Kα1 and Kα2)
Structure: DFT lattice parameters and positions (PBE)
Lines closer than 0.1° are merged.

Top 12 peaks for 5 to 70 degrees two-theta, low angle first:
2θ/deg  I (rel.)
21.84  5
31.08  3
38.31  100
44.46  34
44.67  17
48.78  1
50.07  2
50.24  1
55.26  1
58.93  1
64.70  11
64.86  22

Crystal structure
Lattice parameters (Å, degrees): 5.751 5.751 5.751 119.85 119.85 90.25
Sites, in units of the cell vectors:
B (0.000, 0.000, 0.000)
Pd (0.250, 0.750, 0.500)
Pd (0.750, 0.250, 0.500)
Pt (0.258, 0.258, 0.000)
Pt (0.258, 0.258, 0.515)
Pt (0.258, 0.742, 0.000)
Pt (0.742, 0.258, 0.000)
Pt (0.742, 0.742, 0.000)
Pt (0.742, 0.742, 0.485)

[2]
Simulated XRD peak list
Compound: Li4Ge6Pt7
Radiation: Cu Kα (weighted mean of Kα1 and Kα2)
Structure: DFT lattice parameters and positions (PBE)
Lines closer than 0.1° are merged.

Top 12 peaks for 5 to 70 degrees two-theta, low angle first:
2θ/deg  I (rel.)
15.36  18
21.80  100
26.78  54
31.01  9
38.23  98
41.43  82
44.43  79
47.29  10
50.02  30
52.64  37
64.65  44
69.11  14

Crystal structure
Lattice parameters (Å, degrees): 7.063 7.063 7.063 109.47 109.47 109.47
Sites, in units of the cell vectors:
Li (0.000, 0.000, 0.500)
Li (0.000, 0.500, 0.000)
Li (0.500, 0.000, 0.000)
Li (0.500, 0.500, 0.500)
Ge (0.000, 0.309, 0.309)
Ge (0.000, 0.691, 0.691)
Ge (0.309, 0.000, 0.309)
Ge (0.309, 0.309, 0.000)
Ge (0.691, 0.000, 0.691)
Ge (0.691, 0.691, 0.000)
Pt (0.000, 0.000, 0.000)
Pt (0.250, 0.500, 0.750)
Pt (0.250, 0.750, 0.500)
Pt (0.500, 0.250, 0.750)
Pt (0.500, 0.750, 0.250)
Pt (0.750, 0.250, 0.500)
Pt (0.750, 0.500, 0.250)

[3]
Simulated XRD peak list
Compound: LaCeBr
Radiation: Cu Kα (weighted mean of Kα1 and Kα2)
Structure: DFT lattice parameters and positions (PBE)
Lines closer than 0.1° are merged.

Top 12 peaks for 5 to 70 degrees two-theta, low angle first:
2θ/deg  I (rel.)
9.17  22
27.76  40
28.77  42
30.95  100
32.83  81
34.37  42
34.75  57
45.24  29
45.72  24
49.68  30
60.34  21
62.50  25

Crystal structure
Lattice parameters (Å, degrees): 9.801 9.801 5.163 90.00 90.00 159.17
Sites, in units of the cell vectors:
La (0.141, 0.859, 0.750)
La (0.859, 0.141, 0.250)
Ce (0.476, 0.524, 0.750)
Ce (0.524, 0.476, 0.250)
Br (0.313, 0.687, 0.750)
Br (0.687, 0.313, 0.250)

[4]
Simulated XRD peak list
Compound: LiFe2CuCl8
Radiation: Cu Kα (weighted mean of Kα1 and Kα2)
Structure: DFT lattice parameters and positions (PBE)
Lines closer than 0.1° are merged.

Top 12 peaks for 5 to 70 degrees two-theta, low angle first:
2θ/deg  I (rel.)
14.47  22
16.72  14
23.73  100
27.90  11
29.17  93
37.94  5
41.73  42
48.57  76
50.95  5
54.75  18
57.66  30
65.91  20

Crystal structure
Lattice parameters (Å, degrees): 7.497 7.497 7.497 119.97 119.97 90.05
Sites, in units of the cell vectors:
Li (0.000, 0.000, 0.000)
Fe (0.250, 0.750, 0.500)
Fe (0.500, 0.500, 0.000)
Cu (0.750, 0.250, 0.500)
Cl (0.130, 0.390, 0.260)
Cl (0.130, 0.870, 0.260)
Cl (0.130, 0.870, 0.740)
Cl (0.133, 0.378, 0.756)
Cl (0.610, 0.870, 0.740)
Cl (0.622, 0.378, 0.244)
Cl (0.622, 0.378, 0.756)
Cl (0.622, 0.867, 0.244)

[5]
Simulated XRD peak list
Compound: LiPrIr4
Radiation: Cu Kα (weighted mean of Kα1 and Kα2)
Structure: DFT lattice parameters and positions (PBE)
Lines closer than 0.1° are merged.

Top 10 peaks for 5 to 70 degrees two-theta, low angle first:
2θ/deg  I (rel.)
20.40  62
23.60  8
33.62  7
39.64  100
41.48  72
48.28  22
52.93  16
54.41  3
60.11  3
64.18  33

Crystal structure
Lattice parameters (Å, degrees): 5.332 5.332 5.332 60.00 60.00 60.00
Sites, in units of the cell vectors:
Li (0.000, 0.000, 0.000)
Pr (0.750, 0.750, 0.750)
Ir (0.374, 0.374, 0.374)
Ir (0.374, 0.374, 0.877)
Ir (0.374, 0.877, 0.374)
Ir (0.877, 0.374, 0.374)

[6]
Simulated XRD peak list
Compound: Sr3Li2Zn3
Radiation: Cu Kα (weighted mean of Kα1 and Kα2)
Structure: DFT lattice parameters and positions (PBE)
Lines closer than 0.1° are merged.

Top 12 peaks for 5 to 70 degrees two-theta, low angle first:
2θ/deg  I (rel.)
25.55  24
27.71  65
29.53  77
29.87  34
30.09  100
32.60  28
33.22  39
33.82  48
34.38  74
36.86  32
44.61  36
58.29  28

Crystal structure
Lattice parameters (Å, degrees): 8.551 16.483 6.469 90.00 90.00 90.00
Sites, in units of the cell vectors:
Sr (0.034, 0.105, 0.140)
Sr (0.034, 0.395, 0.140)
Sr (0.176, 0.250, 0.617)
Sr (0.324, 0.750, 0.117)
Sr (0.466, 0.605, 0.640)
Sr (0.466, 0.895, 0.640)
Sr (0.534, 0.105, 0.360)
Sr (0.534, 0.395, 0.360)
Sr (0.676, 0.250, 0.883)
Sr (0.824, 0.750, 0.383)
Sr (0.966, 0.605, 0.860)
Sr (0.966, 0.895, 0.860)
Li (0.121, 0.595, 0.372)
Li (0.121, 0.905, 0.372)
Li (0.379, 0.095, 0.872)
Li (0.379, 0.405, 0.872)
Li (0.621, 0.595, 0.128)
Li (0.621, 0.905, 0.128)
Li (0.879, 0.095, 0.628)
Li (0.879, 0.405, 0.628)
Zn (0.175, 0.040, 0.599)
Zn (0.175, 0.460, 0.599)
Zn (0.179, 0.750, 0.604)
Zn (0.321, 0.250, 0.104)
Zn (0.325, 0.540, 0.099)
Zn (0.325, 0.960, 0.099)
Zn (0.675, 0.040, 0.901)
Zn (0.675, 0.460, 0.901)
Zn (0.679, 0.750, 0.896)
Zn (0.821, 0.250, 0.396)
Zn (0.825, 0.540, 0.401)
Zn (0.825, 0.960, 0.401)

[7]
Simulated XRD peak list
Compound: Cs2Na16Sr
Radiation: Cu Kα (weighted mean of Kα1 and Kα2)
Structure: DFT lattice parameters and positions (PBE)
Lines closer than 0.1° are merged.

Top 12 peaks for 5 to 70 degrees two-theta, low angle first:
2θ/deg  I (rel.)
14.01  43
20.00  42
20.65  20
24.39  39
25.04  27
28.29  100
28.83  33
40.17  13
40.43  18
40.78  13
49.98  12
50.53  12

Crystal structure
Lattice parameters (Å, degrees): 9.601 9.601 9.601 82.37 82.37 82.37
Sites, in units of the cell vectors:
Cs (0.000, 0.000, 0.000)
Cs (0.309, 0.309, 0.309)
Na (0.000, 0.000, 0.502)
Na (0.000, 0.502, 0.000)
Na (0.162, 0.652, 0.652)
Na (0.309, 0.309, 0.798)
Na (0.309, 0.798, 0.309)
Na (0.364, 0.653, 0.943)
Na (0.364, 0.943, 0.653)
Na (0.502, 0.000, 0.000)
Na (0.547, 0.547, 0.547)
Na (0.652, 0.162, 0.652)
Na (0.652, 0.652, 0.162)
Na (0.653, 0.364, 0.943)
Na (0.653, 0.943, 0.364)
Na (0.798, 0.309, 0.309)
Na (0.943, 0.364, 0.653)
Na (0.943, 0.653, 0.364)
Sr (0.747, 0.747, 0.747)

[8]
Simulated XRD peak list
Compound: Pm4Tm5Th2
Radiation: Cu Kα (weighted mean of Kα1 and Kα2)
Structure: DFT lattice parameters and positions (PBE)
Lines closer than 0.1° are merged.

Top 12 peaks for 5 to 70 degrees two-theta, low angle first:
2θ/deg  I (rel.)
8.29  2
12.26  1
30.73  100
35.60  34
35.69  17
51.22  18
51.32  18
60.88  14
60.99  21
61.09  7
63.95  9
64.12  3

Crystal structure
Lattice parameters (Å, degrees): 3.570 9.418 10.684 86.23 89.98 79.17
Sites, in units of the cell vectors:
Pm (0.089, 0.323, 0.456)
Pm (0.361, 0.778, 0.824)
Pm (0.639, 0.222, 0.176)
Pm (0.911, 0.677, 0.544)
Tm (0.000, 0.500, 0.000)
Tm (0.273, 0.952, 0.363)
Tm (0.453, 0.593, 0.268)
Tm (0.547, 0.407, 0.732)
Tm (0.727, 0.048, 0.637)
Th (0.183, 0.135, 0.905)
Th (0.817, 0.865, 0.095)

[9]
Simulated XRD peak list
Compound: Cs2Rb2Ge3
Radiation: Cu Kα (weighted mean of Kα1 and Kα2)
Structure: DFT lattice parameters and positions (PBE)
Lines closer than 0.1° are merged.

Top 12 peaks for 5 to 70 degrees two-theta, low angle first:
2θ/deg  I (rel.)
27.29  20
27.78  25
27.95  100
28.28  55
28.64  49
39.97  14
40.21  10
40.38  10
46.26  11
49.03  21
50.28  35
57.75  11

Crystal structure
Lattice parameters (Å, degrees): 7.391 7.391 7.855 120.20 120.20 49.88
Sites, in units of the cell vectors:
Cs (0.171, 0.171, 0.034)
Cs (0.829, 0.829, 0.966)
Rb (0.155, 0.155, 0.512)
Rb (0.845, 0.845, 0.488)
Ge (0.482, 0.482, 0.826)
Ge (0.500, 0.500, 0.500)
Ge (0.518, 0.518, 0.174)

[10]
Simulated XRD peak list
Compound: Ge2BIr
Radiation: Cu Kα (weighted mean of Kα1 and Kα2)
Structure: DFT lattice parameters and positions (PBE)
Lines closer than 0.1° are merged.

Top 12 peaks for 5 to 70 degrees two-theta, low angle first:
2θ/deg  I (rel.)
18.40  46
29.07  30
30.38  100
31.99  35
35.78  24
38.88  22
41.13  52
44.72  33
45.98  35
47.88  38
50.36  29
53.34  23

Crystal structure
Lattice parameters (Å, degrees): 5.866 3.435 6.456 90.00 103.64 90.00
Sites, in units of the cell vectors:
Ge (0.005, 0.250, 0.314)
Ge (0.326, 0.250, 0.084)
Ge (0.674, 0.750, 0.916)
Ge (0.995, 0.750, 0.686)
B (0.474, 0.750, 0.558)
B (0.526, 0.250, 0.442)
Ir (0.334, 0.250, 0.680)
Ir (0.666, 0.750, 0.320)

[11]
Simulated XRD peak list
Compound: Mg2ScV3S8
Radiation: Cu Kα (weighted mean of Kα1 and Kα2)
Structure: DFT lattice parameters and positions (PBE)
Lines closer than 0.1° are merged.

Top 12 peaks for 5 to 70 degrees two-theta, low angle first:
2θ/deg  I (rel.)
14.81  61
24.30  10
28.59  68
34.65  100
45.46  16
45.53  27
49.74  47
49.88  51
52.32  6
58.49  6
62.16  14
64.12  5

Crystal structure
Lattice parameters (Å, degrees): 7.332 7.332 7.332 59.83 59.83 59.83
Sites, in units of the cell vectors:
Mg (0.125, 0.125, 0.125)
Mg (0.875, 0.875, 0.875)
Sc (0.500, 0.500, 0.500)
V (0.000, 0.500, 0.500)
V (0.500, 0.000, 0.500)
V (0.500, 0.500, 0.000)
S (0.253, 0.253, 0.720)
S (0.253, 0.720, 0.253)
S (0.262, 0.262, 0.262)
S (0.280, 0.747, 0.747)
S (0.720, 0.253, 0.253)
S (0.738, 0.738, 0.738)
S (0.747, 0.280, 0.747)
S (0.747, 0.747, 0.280)

[12]
Simulated XRD peak list
Compound: Zr4ScTi
Radiation: Cu Kα (weighted mean of Kα1 and Kα2)
Structure: DFT lattice parameters and positions (PBE)
Lines closer than 0.1° are merged.

Top 12 peaks for 5 to 70 degrees two-theta, low angle first:
2θ/deg  I (rel.)
26.41  29
31.56  54
31.74  39
35.82  93
35.98  32
36.25  33
36.71  74
36.92  34
37.24  80
37.34  23
37.51  100
59.69  25

Crystal structure
Lattice parameters (Å, degrees): 7.564 7.564 5.809 100.74 100.74 118.91
Sites, in units of the cell vectors:
Zr (0.098, 0.715, 0.952)
Zr (0.186, 0.402, 0.644)
Zr (0.285, 0.902, 0.548)
Zr (0.402, 0.186, 0.144)
Zr (0.598, 0.814, 0.856)
Zr (0.715, 0.098, 0.452)
Zr (0.814, 0.598, 0.356)
Zr (0.902, 0.285, 0.048)
Sc (0.402, 0.598, 0.250)
Sc (0.598, 0.402, 0.750)
Ti (0.002, 0.998, 0.750)
Ti (0.998, 0.002, 0.250)

[13]
Simulated XRD peak list
Compound: Zr5NiRu4
Radiation: Cu Kα (weighted mean of Kα1 and Kα2)
Structure: DFT lattice parameters and positions (PBE)
Lines closer than 0.1° are merged.

Top 7 peaks for 5 to 70 degrees two-theta, low angle first:
2θ/deg  I (rel.)
5.38  3
10.77  1
35.15  1
38.92  100
39.08  50
55.97  8
56.46  16

Crystal structure
Lattice parameters (Å, degrees): 3.260 3.260 16.429 90.00 90.00 90.00
Sites, in units of the cell vectors:
Zr (0.000, 0.000, 0.000)
Zr (0.000, 0.000, 0.201)
Zr (0.000, 0.000, 0.403)
Zr (0.000, 0.000, 0.597)
Zr (0.000, 0.000, 0.799)
Ni (0.500, 0.500, 0.500)
Ru (0.500, 0.500, 0.101)
Ru (0.500, 0.500, 0.302)
Ru (0.500, 0.500, 0.698)
Ru (0.500, 0.500, 0.899)